This entry pairs a crystal structure of Nd2Co3P4 with its calculated XRD peak list. Radiation: Cu Kα, 1.54184 Å. Structure: the PBE geometry in Alexandria.

```
data_Nd2Co3P4
_chemical_formula_sum 'Nd8 Co12 P16'
_space_group_name_H-M_alt 'F m m m'
_space_group_IT_number 69
_space_group_name_Hall '-F 2 2'
_cell_length_a 5.353
_cell_length_b 9.332
_cell_length_c 12.199
_cell_angle_alpha 90.00
_cell_angle_beta 90.00
_cell_angle_gamma 90.00
loop_
_atom_site_label
_atom_site_type_symbol
_atom_site_fract_x
_atom_site_fract_y
_atom_site_fract_z
_atom_site_occupancy
Nd1 Nd 0.000 0.000 0.146 1
Co1 Co 0.000 0.000 0.500 1
Co2 Co 0.250 0.250 0.000 1
P1 P 0.000 0.160 0.366 1
```

Most intense lines, 2θ from 15° to 90°, by angle:
2theta, I/Imax, (hkl)
19.02, 240, 0 2 0
29.20, 1000, 1 1 3
33.48, 255, 2 0 0
34.14, 301, 1 3 1
35.15, 251, 0 2 4
38.79, 499, 2 2 0
40.20, 914, 1 3 3
45.07, 333, 2 0 4